Starting from DFT lattice parameters and positions (GGA-PBE), the powder X-ray diffraction pattern of Sm3Sb4Au3 was calculated for Cu Ka.
Kinematic intensities with the Lorentz-polarization factor, no thermal factor.

Top 10 peaks for 10 to 80 degrees two-theta, sorted by position:
21.64°, I = 23, hkl 2 1 1; 25.04°, I = 11, hkl 2 2 0; 33.33°, I = 100, hkl 3 2 1; 40.08°, I = 48, hkl 4 2 0; 44.10°, I = 14, hkl 4 2 2; 46.00°, I = 12, hkl 5 1 0; 49.64°, I = 17, hkl 5 2 1; 64.14°, I = 12, hkl 4 4 4; 67.09°, I = 11, hkl 6 4 0; 68.55°, I = 12, hkl 5 5 2

Structural model:
abc: 10.060 10.060 10.060
angles: 90.00 90.00 90.00
Space group I-43d (No. 220)
One atom of each set of equivalent atoms:
Sm (0.000, 0.250, 0.375)
Sb (0.089, 0.089, 0.089)
Au (0.000, 0.250, 0.875)

---

Starting from DFT lattice parameters and positions (GGA-PBE), the powder X-ray diffraction pattern of Zr5Re24 was calculated for Cu Ka.
Kinematic intensities with the Lorentz-polarization factor, no thermal factor.

Top 10 peaks for 10 to 80 degrees two-theta, sorted by position:
22.20°, I = 7, hkl 2 1 1; 36.65°, I = 8, hkl 4 0 0; 38.96°, I = 100, hkl 4 1 1; 43.27°, I = 34, hkl 3 3 2; 45.30°, I = 9, hkl 4 2 2; 47.26°, I = 29, hkl 4 3 1; 65.99°, I = 6, hkl 4 4 4; 67.53°, I = 10, hkl 5 5 0; 70.57°, I = 27, hkl 7 2 1; 72.06°, I = 9, hkl 6 4 2

Structural model:
abc: 9.808 9.808 9.808
angles: 90.00 90.00 90.00
Space group I-43m (No. 217)
One atom of each set of equivalent atoms:
Zr (0.000, 0.000, 0.000)
Zr (0.185, 0.185, 0.185)
Re (0.036, 0.359, 0.641)
Re (0.091, 0.091, 0.714)

---

Starting from DFT lattice parameters and positions (GGA-PBE), the powder X-ray diffraction pattern of Er2CdPd2 was calculated for Cu Ka.
Kinematic intensities with the Lorentz-polarization factor, no thermal factor.

Top 10 peaks for 10 to 80 degrees two-theta, sorted by position:
32.99°, I = 10, hkl 2 2 0; 33.62°, I = 35, hkl 2 0 1; 35.65°, I = 100, hkl 2 1 1; 37.02°, I = 41, hkl 3 1 0; 48.90°, I = 10, hkl 4 1 0; 49.20°, I = 14, hkl 0 0 2; 55.20°, I = 15, hkl 4 1 1; 63.14°, I = 17, hkl 3 1 2; 67.09°, I = 10, hkl 5 1 1; 70.80°, I = 11, hkl 5 2 1

Structural model:
abc: 7.679 7.679 3.704
angles: 90.00 90.00 90.00
Space group P4/mbm (No. 127)
One atom of each set of equivalent atoms:
Er (0.175, 0.325, 0.000)
Cd (0.000, 0.000, 0.500)
Pd (0.127, 0.627, 0.500)